# AlNiMo
Computed X-ray diffraction stick pattern, CuKα. Input: a structure optimized by DFT (GGA-PBE).
Kinematic intensities with the Lorentz-polarization factor, no thermal factor.

Most intense lines, 2θ from 15° to 90°, sorted by position:
Position (°2θ), intensity, hkl
22.8, 100, 1 1 1
23.9, 21, 0 2 2
37.4, 33, 0 2 6
38.8, 28, 1 3 1
40.4, 46, 0 0 8
40.7, 56, 2 0 2
41.4, 88, 1 3 3
42.0, 56, 1 1 7
46.3, 45, 1 3 5
49.0, 36, 0 4 4
50.0, 73, 2 2 4
51.4, 23, 1 1 9

Cell and atoms:
```
data_AlNiMo
_space_group_name_H-M_alt 'F d d d'
_space_group_IT_number 70
_cell_length_a 4.581
_cell_length_b 8.175
_cell_length_c 17.875
_cell_angle_alpha 90.00
_cell_angle_beta 90.00
_cell_angle_gamma 90.00
loop_
_space_group_symop_operation_xyz
'x,y,z'
'-x,-y,-z'
'-x+1/4,-y+1/4,z'
'x+1/4,y+1/4,-z'
'x,-y+1/4,-z+1/4'
'-x,y+1/4,z+1/4'
'-x+1/4,y,-z+1/4'
'x+1/4,-y,z+1/4'
'x,y+1/2,z+1/2'
'-x,-y+1/2,-z+1/2'
'-x+1/4,-y+3/4,z+1/2'
'x+1/4,y+3/4,-z+1/2'
'x,-y+3/4,-z+3/4'
'-x,y+3/4,z+3/4'
'-x+1/4,y+1/2,-z+3/4'
'x+1/4,-y+1/2,z+3/4'
'x+1/2,y,z+1/2'
'-x+1/2,-y,-z+1/2'
'-x+3/4,-y+1/4,z+1/2'
'x+3/4,y+1/4,-z+1/2'
'x+1/2,-y+1/4,-z+3/4'
'-x+1/2,y+1/4,z+3/4'
'-x+3/4,y,-z+3/4'
'x+3/4,-y,z+3/4'
'x+1/2,y+1/2,z'
'-x+1/2,-y+1/2,-z'
'-x+3/4,-y+3/4,z'
'x+3/4,y+3/4,-z'
'x+1/2,-y+3/4,-z+1/4'
'-x+1/2,y+3/4,z+1/4'
'-x+3/4,y+1/2,-z+1/4'
'x+3/4,-y+1/2,z+1/4'
loop_
_atom_site_label
_atom_site_type_symbol
_atom_site_fract_x
_atom_site_fract_y
_atom_site_fract_z
_atom_site_occupancy
Al1 Al 0.125 0.125 0.047 1
Ni1 Ni 0.125 0.125 0.500 1
Mo1 Mo 0.125 0.293 0.625 1
```